1.
This entry pairs a crystal structure of Sr4HgPd2 with its computed PXRD pattern. Radiation: Cu Kα, 1.54184 Å. Structure: a PBE-relaxed structure.
Lines closer than 0.1° are merged.

Principal peaks in the range 2θ = 10–90°, low angle first:
2theta, I/Imax
15.02, 32
29.30, 100
30.30, 26
35.80, 30
36.40, 45
36.60, 43
37.74, 30
42.97, 22

Cell and atoms:
```
14
Lattice="6.250 -4.768 0.000 6.250 4.768 0.000 -2.779 0.000 7.948" Properties=species:S:1:pos:R:3 pbc="T T T"
Sr 0.000 0.000 0.000
Sr -1.393 0.000 4.127
Sr 2.996 2.555 1.159
Sr 1.775 2.524 5.195
Sr 6.362 0.000 0.063
Sr 5.022 0.000 4.149
Sr 2.996 -2.555 1.159
Sr 1.775 -2.524 5.195
Hg 1.761 0.000 2.938
Hg 0.363 0.000 6.925
Pd 4.931 2.395 6.324
Pd 6.582 0.000 6.907
Pd 8.074 0.000 2.980
Pd 4.931 -2.395 6.324
```

2.
This entry pairs a crystal structure of YAu5 with its computed PXRD pattern. Radiation: Cu Kα, 1.54184 Å. Structure: a PBE-relaxed structure.
Lines closer than 0.1° are merged.

Principal peaks in the range 2θ = 10–90°, low angle first:
2theta, I/Imax
35.94, 100
36.72, 95
40.77, 36
42.41, 32
43.39, 30
61.06, 22
62.29, 21
70.60, 14

Cell and atoms:
```
6
Lattice="4.742 -2.085 0.000 4.742 2.085 0.000 -1.832 0.000 5.971" Properties=species:S:1:pos:R:3 pbc="T T T"
Y 0.000 0.000 0.000
Au -0.916 0.000 2.985
Au 2.845 0.000 1.053
Au 1.964 0.000 3.950
Au 5.688 0.000 2.021
Au 4.808 0.000 4.917
```